1.
For NdSc3Se4, a structure optimized by DFT (PBE) gives the computed powder XRD pattern in this record (copper Kα).
Intensities are scaled so that the largest is 1000.

Structural model:
Cell: 3.9213 3.9213 26.5185 Å, 90.00 90.00 120.00°
Sites, in units of the cell vectors:
Nd 0.3333 0.6667 0.2500
Nd 0.6667 0.3333 0.7500
Sc 0.0000 0.0000 0.0000
Sc 0.0000 0.0000 0.5000
Sc 0.3333 0.6667 0.6182
Sc 0.3333 0.6667 0.8818
Sc 0.6667 0.3333 0.1182
Sc 0.6667 0.3333 0.3818
Se 0.0000 0.0000 0.1761
Se 0.0000 0.0000 0.3239
Se 0.0000 0.0000 0.6761
Se 0.0000 0.0000 0.8239
Se 0.3333 0.6667 0.0591
Se 0.3333 0.6667 0.4409
Se 0.6667 0.3333 0.5591
Se 0.6667 0.3333 0.9409

The 10 most intense peaks (2θ from 10° to 80°), sorted by position:
d/Å	2theta	I (rel.)
3.368	26.5	251
2.860	31.3	993
2.693	33.3	1000
1.966	46.2	353
1.961	46.3	646
1.617	56.9	174
1.585	58.2	192
1.266	75.0	190
1.248	76.3	145
1.233	77.4	164

---

2.
For Pm4U2Ru5, a structure optimized by DFT (PBE) gives the computed powder XRD pattern in this record (copper Kα).
Intensities are scaled so that the largest is 1000.

Structural model:
Cell: 10.5969 10.5969 10.5969 Å, 130.84 61.10 146.03°
Sites, in units of the cell vectors:
Pm 0.0543 0.7503 0.8047
Pm 0.1374 0.1202 0.2576
Pm 0.3626 0.6202 0.9828
Pm 0.4457 0.2503 0.6960
Pm 0.5543 0.7497 0.3040
Pm 0.6374 0.3798 0.0172
Pm 0.8626 0.8798 0.7424
Pm 0.9457 0.2497 0.1953
U 0.0531 0.7500 0.3031
U 0.4469 0.7500 0.6969
U 0.5531 0.2500 0.3031
U 0.9469 0.2500 0.6969
Ru 0.0892 0.4384 0.5275
Ru 0.2248 0.8354 0.0601
Ru 0.2500 0.2500 0.0000
Ru 0.2752 0.3354 0.6106
Ru 0.4108 0.9384 0.3492
Ru 0.5892 0.0616 0.6508
Ru 0.7248 0.6646 0.3894
Ru 0.7500 0.7500 0.0000
Ru 0.7752 0.1646 0.9399
Ru 0.9108 0.5616 0.4725

The 10 most intense peaks (2θ from 10° to 80°), sorted by position:
d/Å	2theta	I (rel.)
5.007	17.7	378
2.646	33.9	588
2.633	34.0	1000
2.608	34.4	731
2.560	35.0	529
2.549	35.2	628
2.533	35.4	572
2.501	35.9	523
2.281	39.5	412
1.547	59.8	353

---

3.
For AgBr2F6, a structure optimized by DFT (PBE) gives the computed powder XRD pattern in this record (copper Kα).
Intensities are scaled so that the largest is 1000.

Structural model:
Cell: 8.0054 8.0054 6.6696 Å, 110.10 110.10 64.54°
Sites, in units of the cell vectors:
Ag 0.1238 0.8762 0.7500
Ag 0.8762 0.1238 0.2500
Br 0.1338 0.3804 0.7535
Br 0.3804 0.1338 0.2535
Br 0.6196 0.8662 0.7465
Br 0.8662 0.6196 0.2465
F 0.0162 0.1823 0.6368
F 0.1428 0.3997 0.2695
F 0.1823 0.0162 0.1368
F 0.2403 0.5726 0.8567
F 0.3997 0.1428 0.7695
F 0.4274 0.7597 0.6433
F 0.5726 0.2403 0.3567
F 0.6003 0.8572 0.2305
F 0.7597 0.4274 0.1433
F 0.8177 0.9838 0.8632
F 0.8572 0.6003 0.7305
F 0.9838 0.8177 0.3632

The 10 most intense peaks (2θ from 10° to 80°), sorted by position:
d/Å	2theta	I (rel.)
7.033	12.6	559
5.244	16.9	324
3.405	26.2	1000
3.092	28.9	356
3.047	29.3	612
2.817	31.8	282
2.780	32.2	284
2.137	42.3	249
1.967	46.1	327
1.750	52.3	232

---

4.
For TbPmSiPt, a structure optimized by DFT (PBE) gives the computed powder XRD pattern in this record (copper Kα).
Intensities are scaled so that the largest is 1000.

Structural model:
Cell: 4.1881 5.8368 5.8368 Å, 40.88 90.00 90.00°
Sites, in units of the cell vectors:
Tb 0.0000 0.0000 0.0000
Pm 0.5000 0.2803 0.2803
Si 0.0000 0.7095 0.7095
Pt 0.5000 0.5594 0.5594

The 10 most intense peaks (2θ from 10° to 80°), sorted by position:
d/Å	2theta	I (rel.)
5.469	16.2	235
2.822	31.7	1000
2.735	32.7	264
2.718	33.0	347
2.290	39.3	209
2.280	39.5	534
2.094	43.2	215
2.038	44.4	198
1.659	55.4	160
1.460	63.8	266

---

5.
For Cs3NaS2O8, a structure optimized by DFT (PBE) gives the computed powder XRD pattern in this record (copper Kα).
Intensities are scaled so that the largest is 1000.

Structural model:
Cell: 6.1523 6.1523 8.1392 Å, 90.00 90.00 120.00°
Sites, in units of the cell vectors:
Cs 0.0000 0.0000 0.0000
Cs 0.3333 0.6667 0.7029
Cs 0.6667 0.3333 0.2971
Na 0.0000 0.0000 0.5000
S 0.3333 0.6667 0.2611
S 0.6667 0.3333 0.7389
O 0.2005 0.4011 0.3236
O 0.2005 0.7995 0.3236
O 0.3333 0.6667 0.0786
O 0.4011 0.2005 0.6764
O 0.5989 0.7995 0.3236
O 0.6667 0.3333 0.9214
O 0.7995 0.2005 0.6764
O 0.7995 0.5989 0.6764

The 10 most intense peaks (2θ from 10° to 80°), sorted by position:
d/Å	2theta	I (rel.)
4.458	19.9	545
3.234	27.6	888
3.076	29.0	1000
2.713	33.0	172
2.532	35.5	310
2.229	40.5	437
2.035	44.5	260
1.805	50.6	287
1.776	51.5	175
1.389	67.4	212

---

6.
For TbPr3, a structure optimized by DFT (PBE) gives the computed powder XRD pattern in this record (copper Kα).
Intensities are scaled so that the largest is 1000.

Structural model:
Cell: 3.7046 5.9688 6.4068 Å, 90.00 90.00 90.00°
Sites, in units of the cell vectors:
Tb 0.0000 0.0000 0.0000
Pr 0.0000 0.5000 0.3318
Pr 0.5000 0.0000 0.4987
Pr 0.5000 0.5000 0.8323

The 10 most intense peaks (2θ from 10° to 80°), sorted by position:
d/Å	2theta	I (rel.)
3.206	27.8	234
2.984	29.9	258
2.824	31.7	1000
2.184	41.3	162
1.851	49.2	195
1.690	54.3	219
1.573	58.7	230
1.548	59.7	163
1.412	66.2	40
1.248	76.3	80